(1)
This entry pairs a crystal structure of Pr2S2O with its computed X-ray diffraction stick pattern. Radiation: CuKα. Structure: a crystal structure in the Materials Project, relaxed with GGA-PBE.

Structural model:
a = 8.6373 Å, b = 7.2793 Å, c = 7.1756 Å
α = 90.00°, β = 98.62°, γ = 90.00°
Space group P2_1/c (No. 14)
One atom of each set of equivalent atoms:
Pr (0.0793, 0.1393, 0.3145)
Pr (0.3640, 0.5559, 0.2472)
S (0.1787, 0.6403, 0.5678)
S (0.4215, 0.2249, 0.4719)
O (0.1180, 0.0850, 0.6483)

Largest 8 diffraction maxima, by angle, 2θ = 5–70°:
(1 1 -1), 2θ 19.3, I 34
(2 1 0), 2θ 24.2, I 28
(0 0 2), 2θ 25.1, I 47
(2 1 -1), 2θ 25.8, I 65
(0 2 1), 2θ 27.5, I 79
(2 1 1), 2θ 28.7, I 100
(3 0 -2), 2θ 37.4, I 62
(2 3 0), 2θ 42.9, I 27

***

(2)
This entry pairs a crystal structure of PrSO with its computed X-ray diffraction stick pattern. Radiation: CuKα. Structure: a crystal structure in the Materials Project, relaxed with GGA-PBE.

Structural model:
a = 6.5626 Å, b = 6.0456 Å, c = 5.8667 Å
α = 90.00°, β = 103.09°, γ = 90.00°
Space group P2_1/c (No. 14)
One atom of each set of equivalent atoms:
Pr (0.1751, 0.0038, 0.2890)
S (0.4079, 0.5648, 0.3448)
O (0.0051, 0.2483, 0.4942)

Largest 8 diffraction maxima, by angle, 2θ = 5–70°:
(1 0 0), 2θ 13.9, I 35
(1 1 -1), 2θ 23.5, I 45
(1 1 1), 2θ 27.5, I 100
(0 2 0), 2θ 29.6, I 47
(0 0 2), 2θ 31.3, I 48
(2 1 -1), 2θ 32.4, I 88
(2 1 1), 2θ 38.3, I 25
(0 2 2), 2θ 43.6, I 60

***

(3)
This entry pairs a crystal structure of Pr2S3O20 with its computed X-ray diffraction stick pattern. Radiation: CuKα. Structure: a crystal structure in the Materials Project, relaxed with GGA-PBE.

Structural model:
a = 13.5056 Å, b = 6.6735 Å, c = 19.5151 Å
α = 90.00°, β = 100.97°, γ = 90.00°
Space group Cc (No. 9)
One atom of each set of equivalent atoms:
Pr (0.0000, 0.0127, 0.0000)
Pr (0.2038, 0.4824, 0.2220)
S (0.0628, 0.0303, 0.6991)
S (0.1389, 0.4951, 0.5325)
S (0.3331, 0.1900, 0.3727)
O (0.0200, 0.0366, 0.6230)
O (0.0251, 0.4771, 0.2761)
O (0.0705, 0.3213, 0.5125)
O (0.0771, 0.3245, 0.0404)
O (0.0935, 0.0503, 0.4097)
O (0.1191, 0.1611, 0.2146)
O (0.1372, 0.1999, 0.7165)
O (0.2003, 0.4787, 0.9778)
O (0.2042, 0.4558, 0.6024)
O (0.2498, 0.0283, 0.0990)
O (0.2569, 0.3362, 0.3409)
O (0.2949, 0.1573, 0.1380)
O (0.2975, 0.1322, 0.4579)
O (0.3286, 0.0043, 0.8413)
O (0.3466, 0.3242, 0.0057)
O (0.3536, 0.2248, 0.5104)
O (0.3594, 0.3684, 0.7659)
O (0.4323, 0.2805, 0.3967)
O (0.4519, 0.0395, 0.7278)
O (0.4837, 0.4377, 0.2403)

Largest 8 diffraction maxima, by angle, 2θ = 5–70°:
(2 0 -2), 2θ 14.7, I 100
(1 1 0), 2θ 14.9, I 54
(1 1 2), 2θ 18.2, I 50
(0 0 4), 2θ 18.5, I 66
(3 1 0), 2θ 24.2, I 86
(3 1 -2), 2θ 24.5, I 36
(2 0 4), 2θ 24.9, I 51
(3 1 4), 2θ 32.9, I 48